Structure and computed X-ray diffraction stick pattern of HoEr3C (a PBE-relaxed structure; Cu Kα X-rays).
Kinematic intensities with the Lorentz-polarization factor, no thermal factor.

Structural model:
```
HoEr3C
1.0
4.996 0.000 0.000
0.000 4.996 0.000
0.000 0.000 4.996
Ho Er C
1 3 1
Cartesian
0.000 0.000 0.000
0.000 2.498 2.498
2.498 0.000 2.498
2.498 2.498 0.000
2.498 2.498 2.498
```

Peak list (5 most intense, 5° ≤ 2θ ≤ 70°, most intense first)
2θ/deg	Rel. int.
31.01	100
35.96	54
61.57	43
51.76	38
64.63	13



Structure and computed X-ray diffraction stick pattern of Pm9In3O2 (a PBE-relaxed structure; Cu Kα X-rays).
Kinematic intensities with the Lorentz-polarization factor, no thermal factor.

Structural model:
```
Pm9In3O2
1.0
7.036 0.000 0.000
-3.518 6.094 0.000
0.000 0.000 8.626
Pm In O
9 3 2
Cartesian
-1.759 3.047 0.000
0.000 2.058 5.772
-1.736 5.065 5.772
1.782 1.029 2.854
3.518 0.000 0.000
1.759 3.047 0.000
1.736 5.065 5.772
5.255 1.029 2.854
3.518 4.036 2.854
0.000 0.000 0.000
0.000 4.062 2.873
3.518 2.031 5.754
0.000 4.062 7.252
3.518 2.031 1.374
```

Peak list (7 most intense, 5° ≤ 2θ ≤ 70°, most intense first)
2θ/deg	Rel. int.
31.12	100
36.09	55
61.82	42
51.97	38
64.90	13
17.82	2
40.53	1



Structure and computed X-ray diffraction stick pattern of LiCoSb2 (a PBE-relaxed structure; Cu Kα X-rays).
Kinematic intensities with the Lorentz-polarization factor, no thermal factor.

Structural model:
```
LiCoSb2
1.0
3.742 -1.861 0.000
3.742 1.861 0.000
-1.552 0.000 5.852
Li Co Sb
1 1 2
Cartesian
0.000 0.000 0.000
2.965 0.000 2.926
0.635 0.000 4.054
5.296 0.000 1.798
```

Peak list (12 most intense, 5° ≤ 2θ ≤ 70°, most intense first)
2θ/deg	Rel. int.
32.60	100
15.14	84
44.09	52
29.40	47
34.12	46
24.62	36
43.62	32
48.92	26
61.00	22
51.52	22
50.47	14
66.81	13



Structure and computed X-ray diffraction stick pattern of Tm6GaCu2 (a PBE-relaxed structure; Cu Kα X-rays).
Kinematic intensities with the Lorentz-polarization factor, no thermal factor.

Structural model:
```
Tm6GaCu2
1.0
-4.620 4.780 4.958
4.620 -4.780 4.958
4.620 4.780 -4.958
Tm Ga Cu
12 2 4
Cartesian
4.620 2.942 -2.570
2.549 1.733 0.000
6.691 1.733 0.000
1.829 4.780 -1.735
2.791 0.000 3.224
0.000 1.838 2.389
4.620 2.942 2.570
1.829 4.780 1.735
2.791 0.000 6.693
-2.071 3.047 4.958
2.071 3.047 4.958
0.000 1.838 7.528
0.000 0.000 0.000
0.000 0.000 4.958
4.620 0.000 1.200
0.000 3.300 0.000
0.000 6.260 0.000
0.000 4.780 3.758
```

Peak list (12 most intense, 5° ≤ 2θ ≤ 70°, most intense first)
2θ/deg	Rel. int.
32.44	100
34.85	57
35.40	50
34.66	48
59.34	28
38.99	28
60.88	28
30.49	24
26.37	23
28.57	21
41.01	21
57.87	21